The following is a calculated powder diffraction line list of Cs3Rb8Pd. It was derived from a cell relaxed with PBE, using Cu Kα, 1.54184 Å.
No peak broadening, texture or thermal motion is included.

Largest 10 diffraction maxima, sorted by position, 5° ≤ 2θ ≤ 70°:
two_theta	I_rel	hkl
11.04	20	1 0 1
16.05	29	2 0 1
19.86	36	2 1 1
22.05	52	3 0 1
22.18	100	2 0 2
23.36	77	2 2 0
25.90	36	3 1 1
32.10	24	2 1 3
37.15	22	4 2 1
43.01	21	2 2 4

```
Cs3Rb8Pd
1.0
15.2336 0.0000 0.0000
-7.6168 13.1927 0.0000
0.0000 0.0000 10.0895
Cs Rb Pd
6 16 2
Direct
0.1541 0.3082 0.0000 Cs
0.1541 0.8459 0.0000 Cs
0.3082 0.1541 0.5000 Cs
0.6918 0.8459 0.0000 Cs
0.8459 0.1541 0.5000 Cs
0.8459 0.6918 0.5000 Cs
0.0000 0.0000 0.2503 Rb
0.0000 0.0000 0.7503 Rb
0.0628 0.5314 0.2334 Rb
0.2296 0.4591 0.5201 Rb
0.2296 0.7704 0.5201 Rb
0.3333 0.6667 0.9486 Rb
0.4591 0.2296 0.0201 Rb
0.4686 0.5314 0.2334 Rb
0.4686 0.9372 0.2334 Rb
0.5314 0.0628 0.7334 Rb
0.5314 0.4686 0.7334 Rb
0.5409 0.7704 0.5201 Rb
0.6667 0.3333 0.4486 Rb
0.7704 0.2296 0.0201 Rb
0.7704 0.5409 0.0201 Rb
0.9372 0.4686 0.7334 Rb
0.3333 0.6667 0.2916 Pd
0.6667 0.3333 0.7916 Pd
```